For Cs2NdWO6, the PBE+U geometry in Alexandria gives the calculated X-ray diffraction stick pattern in this record (Cu Ka).
No peak broadening, texture or thermal motion is included.

Structure:
```
10
Lattice="6.892 0.000 0.000 -3.446 5.969 0.000 0.000 0.000 6.122" Properties=species:S:1:pos:R:3 pbc="T T T"
Cs 0.000 3.979 0.645
Cs 3.446 1.990 5.477
Nd 0.000 0.000 3.061
W 0.000 0.000 0.000
O 0.000 1.540 4.907
O -2.113 5.199 4.907
O 1.333 0.770 1.215
O 2.113 5.199 4.907
O 5.559 0.770 1.215
O 3.446 4.429 1.215
```

Main lines, in order of rising 2θ (10 to 90 degrees two-theta):
| (hkl) | 2θ/deg | Rel. int. |
| --- | --- | --- |
| 0 0 1 | 14.5 | 31 |
| 1 0 0 | 14.8 | 68 |
| 1 1 0 | 25.9 | 100 |
| 1 1 1 | 29.8 | 24 |
| 0 1 2 | 32.9 | 37 |
| 1 1 2 | 39.4 | 33 |
| 2 0 2 | 42.3 | 28 |
| 1 2 2 | 50.2 | 28 |